Computed powder XRD pattern of PaFeS2 for CuKα, from a DFT-relaxed cell (PBE, Alexandria).
Peak positions follow from Bragg's law for the DFT cell and can differ from measured ones.

Most intense lines, 15 to 90 degrees two-theta, by angle:
two_theta  I/Imax  h k l
16.9  73  2 0 0
22.1  25  0 0 1
26.2  32  1 1 0
27.9  18  2 0 -1
28.0  17  2 0 1
34.5  100  1 1 1
35.9  46  3 1 0
41.1  19  4 0 -1
41.2  18  4 0 1
42.6  14  3 1 1
45.0  18  0 0 2
59.0  21  3 1 2

Structural model:
```
data_PaFeS2
_cell_length_a 10.467
_cell_length_b 3.596
_cell_length_c 4.026
_cell_angle_alpha 90.00
_cell_angle_beta 90.25
_cell_angle_gamma 90.00
_space_group_name_H-M_alt 'C 1 m 1'
_space_group_IT_number 8
_space_group_name_Hall 'C -2y'
loop_
_atom_site_label
_atom_site_type_symbol
_atom_site_fract_x
_atom_site_fract_y
_atom_site_fract_z
Pa1 Pa 0.000 0.000 0.000
Fe1 Fe 0.362 0.000 0.506
S1 S 0.074 0.500 0.501
S2 S 0.282 0.000 0.004
```